Record 1
Theoretical powder diffraction line list of KRbNb2O4 for Cu Ka, from a DFT-relaxed cell (GGA-PBE, OQMD).
Peak positions follow from Bragg's law for the DFT cell and can differ from measured ones.

Most intense lines, 2θ = 10–90°, by intensity:
2θ = 21.3°, intensity 100
2θ = 16.9°, intensity 99
2θ = 29.9°, intensity 94
2θ = 26.4°, intensity 76
2θ = 29.1°, intensity 64
2θ = 35.0°, intensity 61
2θ = 47.7°, intensity 57
2θ = 39.6°, intensity 47
2θ = 30.6°, intensity 45
2θ = 42.1°, intensity 39

Atomic structure:
```
KRbNb2O4
1.0
4.341 -4.162 0.000
4.341 4.162 0.000
-3.668 0.000 4.556
K Rb Nb O
1 1 2 4
direct
0.000 0.000 0.000
0.247 0.753 0.500
0.579 0.421 0.000
0.662 0.338 0.500
0.394 0.231 0.559
0.457 0.162 0.061
0.769 0.606 0.441
0.838 0.543 0.939
```


Record 2
Theoretical powder diffraction line list of Ir for Cu Ka, from a DFT-relaxed cell (GGA-PBE, OQMD).
Peak positions follow from Bragg's law for the DFT cell and can differ from measured ones.

Most intense lines, 2θ = 10–90°, by intensity:
2θ = 43.2°, intensity 100
2θ = 40.6°, intensity 26
2θ = 37.9°, intensity 24
2θ = 82.7°, intensity 21
2θ = 75.6°, intensity 20
2θ = 68.4°, intensity 17
2θ = 56.7°, intensity 15
2θ = 84.4°, intensity 15
2θ = 87.8°, intensity 3
2θ = 80.9°, intensity 3

Atomic structure:
```
Ir
1.0
2.743 0.000 0.000
-1.371 2.375 0.000
0.000 0.000 4.449
Ir
2
direct
0.333 0.667 0.250
0.667 0.333 0.750
```


Record 3
Theoretical powder diffraction line list of YNiTe5 for Cu Ka, from a DFT-relaxed cell (GGA-PBE, OQMD).
Peak positions follow from Bragg's law for the DFT cell and can differ from measured ones.

Most intense lines, 2θ = 10–90°, by intensity:
2θ = 28.7°, intensity 100
2θ = 36.2°, intensity 58
2θ = 32.2°, intensity 46
2θ = 34.8°, intensity 39
2θ = 45.7°, intensity 24
2θ = 30.9°, intensity 18
2θ = 45.1°, intensity 18
2θ = 60.3°, intensity 17
2θ = 58.7°, intensity 17
2θ = 34.0°, intensity 17

Atomic structure:
```
YNiTe5
1.0
1.984 -5.830 0.000
1.984 5.830 0.000
0.000 0.000 16.651
Y Ni Te
2 2 10
direct
0.054 0.946 0.750
0.946 0.054 0.250
0.500 0.500 0.000
0.500 0.500 0.500
0.085 0.915 0.084
0.085 0.915 0.416
0.344 0.656 0.750
0.357 0.643 0.116
0.357 0.643 0.384
0.643 0.357 0.616
0.643 0.357 0.884
0.656 0.344 0.250
0.915 0.085 0.584
0.915 0.085 0.916
```